Starting from a PBE-relaxed structure, the powder XRD pattern of GaHPt3 was computed for Cu Kα.

```
data_GaHPt3
_chemical_formula_sum 'Ga2 H2 Pt6'
_cell_length_a 5.627
_cell_length_b 5.627
_cell_length_c 4.105
_cell_angle_alpha 90.00
_cell_angle_beta 90.00
_cell_angle_gamma 90.00
_symmetry_space_group_name_H-M 'P 4 b m'
_symmetry_Int_Tables_number 100
_symmetry_space_group_name_Hall 'P 4 -2ab'
loop_
_atom_site_label
_atom_site_type_symbol
_atom_site_fract_x
_atom_site_fract_y
_atom_site_fract_z
Ga1 Ga 0.000 0.500 0.000
H1 H 0.000 0.000 0.445
Pt1 Pt 0.000 0.000 0.998
Pt2 Pt 0.195 0.305 0.502
```

The 8 most intense peaks (15 to 90 degrees two-theta), by intensity:
(hkl), d (Å), Rel. int.
2 0 1, 2.321, 100.0
2 1 1, 2.145, 27.2
2 2 0, 1.989, 24.7
0 0 2, 2.052, 23.6
2 1 0, 2.516, 21.4
2 2 2, 1.428, 17.0
1 1 1, 2.857, 14.6
4 1 1, 1.295, 14.3